Theoretical X-ray powder pattern of Sm6SbIr for λ = 1.5418 Å (Cu Kα), from DFT lattice parameters and positions (PBE).
Neutral-atom scattering factors, no anomalous dispersion.

Cell and atoms:
Cell lengths 6.9596, 6.9596, 20.2464 Å; angles 90.00, 90.00, 120.00 degrees
Space group R-3 (No. 148, hexagonal axes)
Asymmetric unit:
Sm (0.0086, 0.3621, 0.4107) [18 per cell]
Sb (0.0000, 0.0000, 0.5000) [3 per cell]
Ir (0.0000, 0.0000, 0.0000) [3 per cell]

Peak list (6 most intense, 15° ≤ 2θ ≤ 90°, low angle first)
- 22.9 deg, d 3.876, I 223, (1 0 4)
- 28.9 deg, d 3.093, I 1000, (2 -1 3)
- 37.1 deg, d 2.422, I 538, (2 -1 6)
- 45.1 deg, d 2.009, I 339, (3 0 0)
- 48.2 deg, d 1.889, I 241, (1 1 9)
- 73.3 deg, d 1.292, I 239, (3 0 12)

***

Theoretical X-ray powder pattern of Sm8Sb2Ir3 for λ = 1.5418 Å (Cu Kα), from DFT lattice parameters and positions (PBE).
Neutral-atom scattering factors, no anomalous dispersion.

Cell and atoms:
Cell lengths 16.064, 8.158, 6.999 Å; angles 90.00, 106.36, 90.00 degrees
Space group C2/m (No. 12)
Asymmetric unit:
Sm (0.093, 0.000, 0.385) [4 per cell]
Sm (0.100, 0.500, 0.405) [4 per cell]
Sm (0.106, 0.261, 0.897) [8 per cell]
Sb (0.242, 0.000, 0.164) [4 per cell]
Ir (0.000, 0.247, 0.500) [4 per cell]
Ir (0.000, 0.500, 0.000) [2 per cell]

Peak list (6 most intense, 15° ≤ 2θ ≤ 90°, low angle first)
- 26.5 deg, d 3.364, I 338, (2 2 -1)
- 32.0 deg, d 2.799, I 1000, (2 0 2)
- 37.2 deg, d 2.415, I 159, (4 2 1)
- 44.4 deg, d 2.039, I 163, (0 4 0)
- 44.8 deg, d 2.025, I 309, (2 2 -3)
- 46.9 deg, d 1.937, I 164, (6 2 1)

***

Theoretical X-ray powder pattern of SnSb3Ir for λ = 1.5418 Å (Cu Kα), from DFT lattice parameters and positions (PBE).
Neutral-atom scattering factors, no anomalous dispersion.

Cell and atoms:
Cell lengths 4.904, 4.949, 11.388 Å; angles 84.89, 86.11, 87.68 degrees
Space group P-1 (No. 2)
Asymmetric unit:
Sn (0.041, 0.300, 0.316) [2 per cell]
Sb (0.238, 0.647, 0.032) [2 per cell]
Sb (0.294, 0.016, 0.814) [2 per cell]
Sb (0.343, 0.765, 0.471) [2 per cell]
Ir (0.214, 0.795, 0.249) [2 per cell]

Peak list (6 most intense, 15° ≤ 2θ ≤ 90°, low angle first)
- 20.3 deg, d 4.384, I 553, (1 0 -1)
- 25.2 deg, d 3.532, I 470, (1 1 0)
- 26.1 deg, d 3.412, I 1000, (1 -1 0)
- 42.1 deg, d 2.147, I 775, (1 2 -1)
- 42.2 deg, d 2.140, I 526, (2 1 -1)
- 42.8 deg, d 2.114, I 543, (1 -2 1)

***

Theoretical X-ray powder pattern of Sr2Sb4Ir3 for λ = 1.5418 Å (Cu Kα), from DFT lattice parameters and positions (PBE).
Neutral-atom scattering factors, no anomalous dispersion.

Cell and atoms:
Cell lengths 5.973, 10.571, 13.798 Å; angles 90.00, 90.00, 90.00 degrees
Space group Fmmm (No. 69)
Asymmetric unit:
Sr (0.000, 0.000, 0.126) [8 per cell]
Sb (0.000, 0.161, 0.352) [16 per cell]
Ir (0.000, 0.000, 0.500) [4 per cell]
Ir (0.250, 0.250, 0.000) [8 per cell]

Peak list (6 most intense, 15° ≤ 2θ ≤ 90°, low angle first)
- 18.2 deg, d 4.866, I 420, (1 1 1)
- 35.4 deg, d 2.533, I 1000, (1 3 3)
- 36.4 deg, d 2.468, I 334, (0 4 2)
- 36.9 deg, d 2.434, I 722, (2 2 2)
- 39.9 deg, d 2.258, I 362, (2 0 4)
- 43.6 deg, d 2.076, I 308, (2 2 4)

***

Theoretical X-ray powder pattern of Sr4SbIr for λ = 1.5418 Å (Cu Kα), from DFT lattice parameters and positions (PBE).
Neutral-atom scattering factors, no anomalous dispersion.

Cell and atoms:
Cell lengths 9.177, 9.177, 9.177 Å; angles 90.00, 90.00, 90.00 degrees
Space group F-43m (No. 216)
Asymmetric unit:
Sr (0.124, 0.124, 0.124) [16 per cell]
Sb (0.000, 0.000, 0.500) [4 per cell]
Ir (0.250, 0.250, 0.750) [4 per cell]

Peak list (6 most intense, 15° ≤ 2θ ≤ 90°, low angle first)
- 27.5 deg, d 3.245, I 458, (2 2 0)
- 32.4 deg, d 2.767, I 1000, (3 1 1)
- 33.8 deg, d 2.649, I 241, (2 2 2)
- 51.8 deg, d 1.766, I 352, (3 3 3)
- 56.7 deg, d 1.622, I 276, (4 4 0)
- 80.4 deg, d 1.195, I 222, (7 3 1)

***

Theoretical X-ray powder pattern of SrSb3Ir for λ = 1.5418 Å (Cu Kα), from DFT lattice parameters and positions (PBE).
Neutral-atom scattering factors, no anomalous dispersion.

Cell and atoms:
Cell lengths 6.849, 6.211, 6.320 Å; angles 90.00, 90.00, 90.00 degrees
Space group Pmn2_1 (No. 31)
Asymmetric unit:
Sr (0.000, 0.145, 0.000) [2 per cell]
Sb (0.000, 0.894, 0.549) [2 per cell]
Sb (0.244, 0.326, 0.451) [4 per cell]
Ir (0.000, 0.599, 0.258) [2 per cell]

Peak list (6 most intense, 15° ≤ 2θ ≤ 90°, low angle first)
- 19.1 deg, d 4.645, I 335, (1 0 1)
- 23.9 deg, d 3.720, I 529, (1 1 1)
- 32.1 deg, d 2.787, I 612, (0 2 1)
- 33.1 deg, d 2.709, I 1000, (2 1 1)
- 41.5 deg, d 2.175, I 511, (2 1 2)
- 41.8 deg, d 2.162, I 272, (2 2 1)

***

Number 3 is which compound?
SnSb3Ir